Diffraction record for Cu5BiCl12. The powder XRD pattern is simulated, not measured: it uses a crystal structure in Alexandria, relaxed with GGA-PBE and copper Kα.
Neutral-atom scattering factors, no anomalous dispersion.

Atomic structure:
a = 6.2191 Å, b = 6.2191 Å, c = 12.9717 Å
α = 96.27°, β = 96.27°, γ = 114.41°
Fractional positions:
Cu  0.0000  0.0000  0.0000
Cu  0.3334  0.6666  0.0000
Cu  0.3472  0.6528  0.5000
Cu  0.6528  0.3472  0.5000
Cu  0.6666  0.3334  0.0000
Bi  0.0000  0.0000  0.5000
Cl  0.0906  0.4359  0.6120
Cl  0.0997  0.7664  0.1068
Cl  0.2336  0.9003  0.8932
Cl  0.2857  0.2857  0.3773
Cl  0.4331  0.4331  0.1066
Cl  0.4359  0.0906  0.6120
Cl  0.5641  0.9094  0.3880
Cl  0.5669  0.5669  0.8934
Cl  0.7143  0.7143  0.6227
Cl  0.7664  0.0997  0.1068
Cl  0.9003  0.2336  0.8932
Cl  0.9094  0.5641  0.3880

The 12 most intense peaks (2θ = 10–80°), in order of rising 2θ:
Position (°2θ), I_rel
13.94, 100
27.04, 15
28.97, 10
30.48, 18
31.04, 11
33.02, 18
33.49, 24
38.75, 21
42.75, 18
48.60, 18
49.90, 12
52.63, 10

---

Diffraction record for ZnCd6F12. The powder XRD pattern is simulated, not measured: it uses a crystal structure in Alexandria, relaxed with GGA-PBE and copper Kα.
Neutral-atom scattering factors, no anomalous dispersion.

Atomic structure:
a = 6.6980 Å, b = 6.6980 Å, c = 6.6980 Å
α = 99.24°, β = 99.24°, γ = 99.24°
Fractional positions:
Zn  0.0000  0.0000  0.0000
Cd  0.1354  0.2974  0.6085
Cd  0.2974  0.6085  0.1354
Cd  0.3915  0.8646  0.7026
Cd  0.6085  0.1354  0.2974
Cd  0.7026  0.3915  0.8646
Cd  0.8646  0.7026  0.3915
F  0.0463  0.9304  0.6947
F  0.0696  0.3053  0.9537
F  0.1769  0.5855  0.4330
F  0.3053  0.9537  0.0696
F  0.4145  0.5670  0.8231
F  0.4330  0.1769  0.5855
F  0.5670  0.8231  0.4145
F  0.5855  0.4330  0.1769
F  0.6947  0.0463  0.9304
F  0.8231  0.4145  0.5670
F  0.9304  0.6947  0.0463
F  0.9537  0.0696  0.3053

The 12 most intense peaks (2θ = 10–80°), in order of rising 2θ:
Position (°2θ), I_rel
17.38, 9
28.00, 33
28.30, 100
32.71, 33
46.74, 34
47.13, 32
55.37, 13
55.72, 23
55.89, 12
58.55, 8
68.55, 7
76.04, 7

---

Diffraction record for BaLaPr. The powder XRD pattern is simulated, not measured: it uses a crystal structure in Alexandria, relaxed with GGA-PBE and copper Kα.
Neutral-atom scattering factors, no anomalous dispersion.

Atomic structure:
a = 5.4649 Å, b = 5.4389 Å, c = 17.2617 Å
α = 90.00°, β = 90.08°, γ = 90.00°
Fractional positions:
Ba  0.2491  0.0000  0.2481
Ba  0.2509  0.5000  0.7519
Ba  0.7491  0.5000  0.2481
Ba  0.7509  0.0000  0.7519
La  0.2498  0.0000  0.5684
La  0.2502  0.5000  0.4316
La  0.7502  0.0000  0.4316
La  0.7498  0.5000  0.5684
Pr  0.2503  0.0000  0.9315
Pr  0.2497  0.5000  0.0685
Pr  0.7497  0.0000  0.0685
Pr  0.7503  0.5000  0.9315

The 12 most intense peaks (2θ = 10–80°), in order of rising 2θ:
Position (°2θ), I_rel
27.86, 100
31.09, 16
32.78, 17
32.94, 17
45.80, 11
45.92, 11
47.15, 12
53.35, 10
55.55, 14
55.76, 14
57.53, 6
75.86, 6

---

Diffraction record for CrCdPt. The powder XRD pattern is simulated, not measured: it uses a crystal structure in Alexandria, relaxed with GGA-PBE and copper Kα.
Neutral-atom scattering factors, no anomalous dispersion.

Atomic structure:
a = 4.5063 Å, b = 4.5063 Å, c = 2.9384 Å
α = 90.00°, β = 90.00°, γ = 120.00°
Fractional positions:
Cr  0.0000  0.0000  0.0000
Cd  0.6667  0.3333  0.5000
Pt  0.3333  0.6667  0.0000

The 12 most intense peaks (2θ = 10–80°), in order of rising 2θ:
Position (°2θ), I_rel
22.79, 37
30.42, 7
38.35, 100
40.02, 81
46.54, 6
51.08, 11
56.62, 32
63.02, 5
63.30, 7
71.58, 32
72.69, 13
77.57, 23

---

Diffraction record for Li2Dy2Rh3. The powder XRD pattern is simulated, not measured: it uses a crystal structure in Alexandria, relaxed with GGA-PBE and copper Kα.
Neutral-atom scattering factors, no anomalous dispersion.

Atomic structure:
a = 3.3500 Å, b = 23.0166 Å, c = 3.2611 Å
α = 90.00°, β = 90.00°, γ = 90.00°
Fractional positions:
Li  0.0000  0.2081  0.0000
Li  0.0000  0.7919  0.0000
Li  0.5000  0.2919  0.0000
Li  0.5000  0.7081  0.0000
Dy  0.0000  0.0785  0.0000
Dy  0.0000  0.9215  0.0000
Dy  0.5000  0.4215  0.0000
Dy  0.5000  0.5785  0.0000
Rh  0.0000  0.3490  0.5000
Rh  0.0000  0.5000  0.5000
Rh  0.0000  0.6510  0.5000
Rh  0.5000  0.0000  0.5000
Rh  0.5000  0.1510  0.5000
Rh  0.5000  0.8490  0.5000

The 12 most intense peaks (2θ = 10–80°), in order of rising 2θ:
Position (°2θ), I_rel
15.40, 31
33.07, 36
36.15, 82
38.36, 74
38.73, 100
41.87, 23
47.40, 12
54.81, 14
56.43, 13
66.23, 30
67.43, 26
70.30, 25

---

Diffraction record for Pm5Tl2. The powder XRD pattern is simulated, not measured: it uses a crystal structure in Alexandria, relaxed with GGA-PBE and copper Kα.
Neutral-atom scattering factors, no anomalous dispersion.

Atomic structure:
a = 8.6318 Å, b = 8.6318 Å, c = 9.2026 Å
α = 97.76°, β = 97.76°, γ = 40.03°
Fractional positions:
Pm  0.0808  0.6622  0.0461
Pm  0.1187  0.4299  0.6801
Pm  0.2216  0.7784  0.7500
Pm  0.3378  0.9192  0.4539
Pm  0.4299  0.1187  0.1801
Pm  0.5701  0.8813  0.8199
Pm  0.6622  0.0808  0.5461
Pm  0.7784  0.2216  0.2500
Pm  0.8813  0.5701  0.3199
Pm  0.9192  0.3378  0.9539
Tl  0.2234  0.6165  0.4017
Tl  0.3835  0.7766  0.0983
Tl  0.6165  0.2234  0.9017
Tl  0.7766  0.3835  0.5983

The 12 most intense peaks (2θ = 10–80°), in order of rising 2θ:
Position (°2θ), I_rel
28.22, 21
30.25, 39
31.77, 60
32.01, 99
32.93, 100
34.27, 42
44.44, 25
48.66, 20
52.50, 19
56.15, 15
57.92, 18
58.17, 15

---

> Number 3 is which compound?

BaLaPr